Structure and computed powder X-ray diffraction pattern of Sm5Ge3C (a cell relaxed with PBE; Cu Kα X-rays).

Largest 10 diffraction maxima, low angle first, 2θ = 10–80°:
2θ/deg, I/Imax, index
29.35, 34, 1 0 2
31.28, 41, 2 1 0
33.89, 68, 1 1 2
34.13, 100, 2 1 1
35.60, 21, 3 0 0
49.97, 20, 2 2 2
52.22, 30, 2 1 3
55.67, 18, 4 1 0
55.93, 16, 4 0 2
68.08, 20, 5 0 2

Structural model:
Cell: 8.7361 8.7361 6.6486 Å, 90.00 90.00 120.00°
Atoms (fractional coordinates):
Sm 0.0000 0.2224 0.2500
Sm 0.0000 0.7776 0.7500
Sm 0.2224 0.0000 0.2500
Sm 0.2224 0.2224 0.7500
Sm 0.3333 0.6667 0.0000
Sm 0.3333 0.6667 0.5000
Sm 0.6667 0.3333 0.0000
Sm 0.6667 0.3333 0.5000
Sm 0.7776 0.0000 0.7500
Sm 0.7776 0.7776 0.2500
Ge 0.0000 0.4069 0.7500
Ge 0.0000 0.5931 0.2500
Ge 0.4069 0.0000 0.7500
Ge 0.4069 0.4069 0.2500
Ge 0.5931 0.0000 0.2500
Ge 0.5931 0.5931 0.7500
C 0.0000 0.0000 0.0000
C 0.0000 0.0000 0.5000